Diffraction record for TiCo2. The powder XRD pattern is theoretical, not measured: it uses the PBE geometry in the Materials Project and copper Kα.
Intensities are scaled so that the largest is 100.

Cell and atoms:
```
data_TiCo2
_chemical_formula_sum 'Ti8 Co16'
_cell_length_a 4.7050
_cell_length_b 4.7050
_cell_length_c 15.3579
_cell_angle_alpha 90.00
_cell_angle_beta 90.00
_cell_angle_gamma 120.00
_symmetry_space_group_name_H-M 'P 63/m m c'
_symmetry_Int_Tables_number 194
_symmetry_space_group_name_Hall '-P 6c 2c'
loop_
_atom_site_label
_atom_site_type_symbol
_atom_site_fract_x
_atom_site_fract_y
_atom_site_fract_z
_atom_site_occupancy
Ti1 Ti 0.0000 0.0000 0.0922 1
Ti2 Ti 0.3333 0.6667 0.1558 1
Co1 Co 0.0000 0.5000 0.0000 1
Co2 Co 0.1625 0.3251 0.7500 1
Co3 Co 0.3333 0.6667 0.6262 1
```

Largest 6 diffraction maxima, sorted by position, 2θ from 10° to 90°:
h k l, two_theta, d/Å, intensity
1 0 6, 41.67, 2.167, 48.8
1 1 4, 45.20, 2.006, 100.0
2 0 2, 46.09, 1.969, 74.0
0 0 8, 47.35, 1.920, 24.3
2 0 3, 48.07, 1.893, 27.7
2 2 0, 81.90, 1.176, 24.5

Diffraction record for Ti2Co. The powder XRD pattern is theoretical, not measured: it uses the PBE geometry in the Materials Project and copper Kα.
Intensities are scaled so that the largest is 100.

Cell and atoms:
a = 11.2215 Å, b = 11.2215 Å, c = 11.2215 Å
α = 90.00°, β = 90.00°, γ = 90.00°
Space group Fd-3m (No. 227, origin choice 2)
Inequivalent atoms, fractional coordinates:
Ti 0.0000 0.0000 0.0000
Ti 0.0625 0.3750 0.8750
Co 0.0329 0.0329 0.2171

Largest 6 diffraction maxima, sorted by position, 2θ from 10° to 90°:
h k l, two_theta, d/Å, intensity
1 1 1, 13.67, 6.479, 9.5
4 2 2, 39.34, 2.291, 26.6
3 3 3, 41.83, 2.160, 100.0
4 4 0, 45.74, 1.984, 29.7
6 6 0, 71.32, 1.322, 23.4
9 3 3, 86.25, 1.128, 13.4

Diffraction record for TiCo2. The powder XRD pattern is theoretical, not measured: it uses the PBE geometry in the Materials Project and copper Kα.
Intensities are scaled so that the largest is 100.

Cell and atoms:
a = 6.6394 Å, b = 6.6394 Å, c = 6.6394 Å
α = 90.00°, β = 90.00°, γ = 90.00°
Space group Fd-3m (No. 227, origin choice 2)
Inequivalent atoms, fractional coordinates:
Ti 0.1250 0.1250 0.1250
Co 0.0000 0.0000 0.5000

Largest 6 diffraction maxima, sorted by position, 2θ from 10° to 90°:
h k l, two_theta, d/Å, intensity
1 1 1, 23.20, 3.833, 18.4
2 2 0, 38.35, 2.347, 20.2
3 1 1, 45.30, 2.002, 100.0
2 2 2, 47.44, 1.917, 49.2
5 1 1, 74.22, 1.278, 26.8
4 4 0, 82.12, 1.174, 24.3

Diffraction record for Ti4Co. The powder XRD pattern is theoretical, not measured: it uses the PBE geometry in the Materials Project and copper Kα.
Intensities are scaled so that the largest is 100.

Cell and atoms:
a = 8.9312 Å, b = 8.9312 Å, c = 8.9312 Å
α = 90.00°, β = 90.00°, γ = 90.00°
Space group Fd-3m (No. 227, origin choice 2)
Inequivalent atoms, fractional coordinates:
Ti 0.0164 0.0164 0.2336
Co 0.1250 0.1250 0.6250

Largest 6 diffraction maxima, sorted by position, 2θ from 10° to 90°:
h k l, two_theta, d/Å, intensity
2 2 0, 28.26, 3.158, 41.3
2 2 2, 34.80, 2.578, 100.0
3 3 1, 44.20, 2.049, 36.7
5 1 1, 53.30, 1.719, 30.5
4 4 0, 58.46, 1.579, 45.4
6 2 2, 69.86, 1.346, 22.2

Diffraction record for ZrTiCo4. The powder XRD pattern is theoretical, not measured: it uses the PBE geometry in the Materials Project and copper Kα.
Intensities are scaled so that the largest is 100.

Cell and atoms:
```
data_ZrTiCo4
_chemical_formula_sum 'Zr4 Ti4 Co16'
_cell_length_a 6.7818
_cell_length_b 6.7818
_cell_length_c 6.7818
_cell_angle_alpha 90.00
_cell_angle_beta 90.00
_cell_angle_gamma 90.00
_symmetry_space_group_name_H-M 'F -4 3 m'
_symmetry_Int_Tables_number 216
_symmetry_space_group_name_Hall 'F -4 2 3'
loop_
_atom_site_label
_atom_site_type_symbol
_atom_site_fract_x
_atom_site_fract_y
_atom_site_fract_z
_atom_site_occupancy
Zr1 Zr 0.0000 0.0000 0.0000 1
Ti1 Ti 0.2500 0.2500 0.7500 1
Co1 Co 0.1244 0.1244 0.3756 1
```

Largest 6 diffraction maxima, sorted by position, 2θ from 10° to 90°:
h k l, two_theta, d/Å, intensity
2 2 0, 37.51, 2.398, 31.6
3 1 1, 44.30, 2.045, 100.0
2 2 2, 46.38, 1.958, 36.3
4 2 2, 67.68, 1.384, 10.2
5 1 1, 72.41, 1.305, 28.0
4 4 0, 80.04, 1.199, 22.9

Diffraction record for Tl3Co. The powder XRD pattern is theoretical, not measured: it uses the PBE geometry in the Materials Project and copper Kα.
Intensities are scaled so that the largest is 100.

Cell and atoms:
```
data_Tl3Co
_chemical_formula_sum 'Tl6 Co2'
_cell_length_a 3.0832
_cell_length_b 8.4085
_cell_length_c 8.9304
_cell_angle_alpha 110.27
_cell_angle_beta 90.14
_cell_angle_gamma 90.01
_symmetry_space_group_name_H-M 'P 1'
_symmetry_Int_Tables_number 1
loop_
_symmetry_equiv_pos_as_xyz
'x,y,z'
loop_
_atom_site_label
_atom_site_type_symbol
_atom_site_fract_x
_atom_site_fract_y
_atom_site_fract_z
_atom_site_occupancy
Tl1 Tl 0.0000 0.0000 0.0000 1
Tl2 Tl 0.0056 0.4336 0.9845 1
Tl3 Tl 0.0113 0.4152 0.4091 1
Tl4 Tl 0.5001 0.7904 0.2245 1
Tl5 Tl 0.5057 0.7697 0.6554 1
Tl6 Tl 0.5116 0.2093 0.6378 1
Co1 Co 0.0062 0.9330 0.4875 1
Co2 Co 0.5053 0.2737 0.1491 1
```

Largest 6 diffraction maxima, sorted by position, 2θ from 10° to 90°:
h k l, two_theta, d/Å, intensity
0 2 -2, 25.08, 3.550, 98.3
0 2 1, 28.15, 3.170, 27.5
1 0 2, 36.18, 2.483, 100.0
0 2 2, 36.29, 2.475, 34.0
1 2 0, 37.01, 2.429, 92.1
1 2 -2, 38.68, 2.328, 39.5

Diffraction record for TmCo2. The powder XRD pattern is theoretical, not measured: it uses the PBE geometry in the Materials Project and copper Kα.
Intensities are scaled so that the largest is 100.

Cell and atoms:
a = 7.1050 Å, b = 7.1050 Å, c = 7.1050 Å
α = 90.00°, β = 90.00°, γ = 90.00°
Space group Fd-3m (No. 227, origin choice 2)
Inequivalent atoms, fractional coordinates:
Tm 0.1250 0.1250 0.1250
Co 0.0000 0.0000 0.5000

Largest 6 diffraction maxima, sorted by position, 2θ from 10° to 90°:
h k l, two_theta, d/Å, intensity
1 1 1, 21.66, 4.102, 17.4
2 2 0, 35.74, 2.512, 68.5
3 1 1, 42.18, 2.142, 100.0
4 2 2, 64.22, 1.450, 25.2
5 1 1, 68.64, 1.367, 30.4
4 4 0, 75.73, 1.256, 22.0

Diffraction record for Tm4Co. The powder XRD pattern is theoretical, not measured: it uses the PBE geometry in the Materials Project and copper Kα.
Intensities are scaled so that the largest is 100.

Cell and atoms:
a = 10.4696 Å, b = 10.4696 Å, c = 10.4696 Å
α = 90.00°, β = 90.00°, γ = 90.00°
Space group Fd-3m (No. 227, origin choice 2)
Inequivalent atoms, fractional coordinates:
Tm 0.0107 0.0107 0.2393
Co 0.1250 0.1250 0.6250

Largest 6 diffraction maxima, sorted by position, 2θ from 10° to 90°:
h k l, two_theta, d/Å, intensity
2 2 2, 29.56, 3.022, 100.0
4 0 0, 34.26, 2.617, 40.8
5 1 1, 44.99, 2.015, 10.4
4 4 0, 49.23, 1.851, 40.6
6 2 2, 58.48, 1.578, 38.2
6 6 2, 79.87, 1.201, 13.5

Diffraction record for Tm4Co3. The powder XRD pattern is theoretical, not measured: it uses the PBE geometry in the Materials Project and copper Kα.
Intensities are scaled so that the largest is 100.

Cell and atoms:
```
data_Tm4Co3
_chemical_formula_sum 'Tm12 Co9'
_cell_length_a 11.0505
_cell_length_b 11.0505
_cell_length_c 4.0185
_cell_angle_alpha 90.00
_cell_angle_beta 90.00
_cell_angle_gamma 120.00
_symmetry_space_group_name_H-M 'P -3'
_symmetry_Int_Tables_number 147
loop_
_symmetry_equiv_pos_as_xyz
'x,y,z'
'-x,-y,-z'
'-y,x-y,z'
'y,-x+y,-z'
'-x+y,-x,z'
'x-y,x,-z'
loop_
_atom_site_label
_atom_site_type_symbol
_atom_site_fract_x
_atom_site_fract_y
_atom_site_fract_z
_atom_site_occupancy
Tm1 Tm 0.0231 0.7768 0.2495 1
Tm2 Tm 0.1340 0.5138 0.2496 1
Co1 Co 0.0000 0.0000 0.0000 1
Co2 Co 0.1542 0.7175 0.7512 1
Co3 Co 0.3333 0.6667 0.7503 1
```

Largest 6 diffraction maxima, sorted by position, 2θ from 10° to 90°:
h k l, two_theta, d/Å, intensity
2 1 1, 33.33, 2.688, 100.0
3 1 0, 33.77, 2.654, 33.4
0 3 1, 35.94, 2.498, 26.4
1 4 0, 43.33, 2.088, 20.5
0 0 2, 45.12, 2.009, 16.8
5 2 1, 65.15, 1.432, 20.9

Diffraction record for Tm2Co7. The powder XRD pattern is theoretical, not measured: it uses the PBE geometry in the Materials Project and copper Kα.
Intensities are scaled so that the largest is 100.

Cell and atoms:
```
data_Tm2Co7
_chemical_formula_sum 'Tm12 Co42'
_cell_length_a 4.9290
_cell_length_b 4.9290
_cell_length_c 36.0885
_cell_angle_alpha 90.00
_cell_angle_beta 90.00
_cell_angle_gamma 120.00
_symmetry_space_group_name_H-M 'R -3 m'
_symmetry_Int_Tables_number 166
_symmetry_space_group_name_Hall '-R 3 2"'
loop_
_atom_site_label
_atom_site_type_symbol
_atom_site_fract_x
_atom_site_fract_y
_atom_site_fract_z
_atom_site_occupancy
Tm1 Tm 0.0000 0.0000 0.0518 1
Tm2 Tm 0.0000 0.0000 0.1487 1
Co1 Co 0.0000 0.0000 0.2784 1
Co2 Co 0.0000 0.0000 0.3891 1
Co3 Co 0.0000 0.0000 0.5000 1
Co4 Co 0.0000 0.5000 0.0000 1
Co5 Co 0.0007 0.5003 0.8903 1
```

Largest 6 diffraction maxima, sorted by position, 2θ from 10° to 90°:
h k l, two_theta, d/Å, intensity
1 0 10, 32.49, 2.756, 45.7
0 1 11, 34.48, 2.601, 32.8
1 1 0, 36.46, 2.465, 50.9
0 2 1, 42.43, 2.131, 34.5
1 1 9, 43.08, 2.100, 100.0
3 0 9, 70.19, 1.341, 22.2

Diffraction record for UCo5. The powder XRD pattern is theoretical, not measured: it uses the PBE geometry in the Materials Project and copper Kα.
Intensities are scaled so that the largest is 100.

Cell and atoms:
```
data_UCo5
_chemical_formula_sum 'U9 Co45'
_cell_length_a 4.7619
_cell_length_b 4.7619
_cell_length_c 35.8583
_cell_angle_alpha 90.00
_cell_angle_beta 90.00
_cell_angle_gamma 120.00
_symmetry_space_group_name_H-M 'R -3 m'
_symmetry_Int_Tables_number 166
_symmetry_space_group_name_Hall '-R 3 2"'
loop_
_atom_site_label
_atom_site_type_symbol
_atom_site_fract_x
_atom_site_fract_y
_atom_site_fract_z
_atom_site_occupancy
U1 U 0.0000 0.0000 0.0000 1
U2 U 0.0000 0.0000 0.0995 1
Co1 Co 0.0000 0.0000 0.2215 1
Co2 Co 0.0000 0.0000 0.3325 1
Co3 Co 0.0000 0.0000 0.4640 1
Co4 Co 0.0000 0.5000 0.5000 1
Co5 Co 0.0057 0.5029 0.0570 1
```

Largest 6 diffraction maxima, sorted by position, 2θ from 10° to 90°:
h k l, two_theta, d/Å, intensity
1 0 1, 21.69, 4.097, 37.2
1 0 10, 33.11, 2.706, 38.1
0 1 11, 35.09, 2.557, 36.7
1 1 0, 37.78, 2.381, 51.5
2 0 2, 44.21, 2.048, 25.7
1 1 9, 44.32, 2.044, 100.0

Diffraction record for UCo. The powder XRD pattern is theoretical, not measured: it uses the PBE geometry in the Materials Project and copper Kα.
Intensities are scaled so that the largest is 100.

Cell and atoms:
```
data_UCo
_chemical_formula_sum 'U8 Co8'
_cell_length_a 6.3122
_cell_length_b 6.3122
_cell_length_c 6.3122
_cell_angle_alpha 90.00
_cell_angle_beta 90.00
_cell_angle_gamma 90.00
_symmetry_space_group_name_H-M 'I 21 3'
_symmetry_Int_Tables_number 199
_symmetry_space_group_name_Hall 'I 2b 2c 3'
loop_
_atom_site_label
_atom_site_type_symbol
_atom_site_fract_x
_atom_site_fract_y
_atom_site_fract_z
_atom_site_occupancy
U1 U 0.2147 0.2147 0.2147 1
Co1 Co 0.0462 0.4538 0.5462 1
```

Largest 6 diffraction maxima, sorted by position, 2θ from 10° to 90°:
h k l, two_theta, d/Å, intensity
2 0 0, 28.28, 3.156, 56.3
2 1 1, 34.81, 2.577, 24.7
2 2 0, 40.42, 2.232, 100.0
3 0 1, 45.44, 1.996, 40.0
3 2 1, 54.38, 1.687, 26.4
5 0 1, 77.03, 1.238, 29.9

Diffraction record for U6Co. The powder XRD pattern is theoretical, not measured: it uses the PBE geometry in the Materials Project and copper Kα.
Intensities are scaled so that the largest is 100.

Cell and atoms:
```
data_U6Co
_chemical_formula_sum 'U24 Co4'
_cell_length_a 10.2138
_cell_length_b 10.2138
_cell_length_c 5.1597
_cell_angle_alpha 90.00
_cell_angle_beta 90.00
_cell_angle_gamma 90.00
_symmetry_space_group_name_H-M 'I 4/m c m'
_symmetry_Int_Tables_number 140
_symmetry_space_group_name_Hall '-I 4 2c'
loop_
_atom_site_label
_atom_site_type_symbol
_atom_site_fract_x
_atom_site_fract_y
_atom_site_fract_z
_atom_site_occupancy
U1 U 0.0940 0.4060 0.0000 1
U2 U 0.1048 0.2168 0.5000 1
Co1 Co 0.0000 0.0000 0.2500 1
```

Largest 6 diffraction maxima, sorted by position, 2θ from 10° to 90°:
h k l, two_theta, d/Å, intensity
0 0 2, 34.77, 2.580, 26.7
3 2 1, 36.17, 2.483, 100.0
5 1 0, 45.27, 2.003, 12.9
3 2 3, 63.25, 1.470, 20.7
5 5 2, 75.42, 1.260, 12.5
8 3 1, 82.90, 1.165, 16.2